Record 1
Starting from the GGA-PBE geometry in Alexandria, the X-ray diffraction stick pattern of Sm3GaI was calculated for a wavelength of 1.5418 Å.
No peak broadening, texture or thermal motion is included.

Structural model:
```
Sm3GaI
1.0
6.102 0.000 0.000
0.000 5.669 0.000
0.000 0.000 8.951
Sm Ga I
6 2 2
Direct
0.000 0.000 0.000 Sm
0.250 0.000 0.381 Sm
0.250 0.500 0.692 Sm
0.500 0.000 0.000 Sm
0.750 0.000 0.619 Sm
0.750 0.500 0.308 Sm
0.250 0.000 0.709 Ga
0.750 0.000 0.291 Ga
0.250 0.500 0.145 I
0.750 0.500 0.855 I
```

Peak list (8 most intense, 5° ≤ 2θ ≤ 70°, in order of rising 2θ)
25.36°, 3.513 Å, I 29
29.32°, 3.046 Å, I 100
30.97°, 2.888 Å, I 20
31.56°, 2.834 Å, I 61
33.40°, 2.682 Å, I 31
34.87°, 2.573 Å, I 40
35.61°, 2.521 Å, I 25
48.32°, 1.884 Å, I 21



Record 2
Starting from the GGA-PBE geometry in Alexandria, the X-ray diffraction stick pattern of SmTl3Ga3I8 was calculated for a wavelength of 1.5418 Å.
No peak broadening, texture or thermal motion is included.

Structural model:
```
SmTl3Ga3I8
1.0
7.998 -4.609 0.000
7.998 4.609 0.000
-5.358 0.000 8.764
Sm Tl Ga I
1 3 3 8
Direct
0.000 0.000 0.000 Sm
0.000 0.000 0.500 Tl
0.000 0.500 0.500 Tl
0.500 0.000 0.500 Tl
0.000 0.500 0.000 Ga
0.500 0.000 0.000 Ga
0.500 0.500 0.000 Ga
0.227 0.227 0.212 I
0.227 0.758 0.212 I
0.242 0.773 0.788 I
0.257 0.257 0.773 I
0.743 0.743 0.227 I
0.758 0.227 0.212 I
0.773 0.242 0.788 I
0.773 0.773 0.788 I
```

Peak list (8 most intense, 5° ≤ 2θ ≤ 70°, in order of rising 2θ)
11.58°, 7.645 Å, I 21
26.10°, 3.414 Å, I 100
35.30°, 2.543 Å, I 13
35.40°, 2.536 Å, I 26
39.05°, 2.307 Å, I 35
47.62°, 1.910 Å, I 13
58.11°, 1.587 Å, I 10
63.18°, 1.472 Å, I 16



Record 3
Starting from the GGA-PBE geometry in Alexandria, the X-ray diffraction stick pattern of Ga4SnI6 was calculated for a wavelength of 1.5418 Å.
No peak broadening, texture or thermal motion is included.

Structural model:
```
Ga4SnI6
1.0
6.518 -6.518 0.000
6.518 6.518 0.000
-0.008 0.000 10.017
Ga Sn I
8 2 12
Direct
0.189 0.811 0.250 Ga
0.189 0.811 0.750 Ga
0.310 0.311 0.750 Ga
0.311 0.310 0.250 Ga
0.689 0.690 0.750 Ga
0.690 0.689 0.250 Ga
0.811 0.189 0.250 Ga
0.811 0.189 0.750 Ga
0.000 0.500 0.000 Sn
0.500 0.000 0.500 Sn
0.000 0.500 0.309 I
0.000 0.500 0.691 I
0.134 0.182 0.000 I
0.182 0.134 0.500 I
0.318 0.634 0.000 I
0.366 0.682 0.500 I
0.500 0.000 0.191 I
0.500 0.000 0.809 I
0.634 0.318 0.500 I
0.682 0.366 0.000 I
0.818 0.866 0.500 I
0.866 0.818 0.000 I
```

Peak list (8 most intense, 5° ≤ 2θ ≤ 70°, in order of rising 2θ)
27.37°, 3.259 Å, I 27
28.03°, 3.183 Å, I 100
28.43°, 3.139 Å, I 26
30.67°, 2.915 Å, I 66
35.86°, 2.504 Å, I 18
44.37°, 2.042 Å, I 24
44.64°, 2.030 Å, I 18
47.89°, 1.900 Å, I 17